The following is a simulated powder diffraction line list of Fe4P3H3O15. It was derived from a PBE+U-relaxed structure, using a wavelength of 1.5418 Å.
Neutral-atom scattering factors, no anomalous dispersion.

Cell and atoms:
Unit cell a=10.595 b=10.595 c=7.556 alpha=101.61 beta=101.61 gamma=41.51
Fractional positions:
1 Fe 0.147 0.700 0.844
2 Fe 0.300 0.853 0.656
3 Fe 0.320 0.342 0.149
4 Fe 0.342 0.320 0.649
5 Fe 0.658 0.680 0.351
6 Fe 0.680 0.658 0.851
7 Fe 0.700 0.147 0.344
8 Fe 0.853 0.300 0.156
9 P 0.033 0.306 0.586
10 P 0.306 0.033 0.086
11 P 0.386 0.614 0.250
12 P 0.614 0.386 0.750
13 P 0.694 0.967 0.914
14 P 0.967 0.694 0.414
15 H 0.007 0.993 0.250
16 H 0.089 0.501 0.876
17 H 0.499 0.911 0.624
18 H 0.501 0.089 0.376
19 H 0.911 0.499 0.124
20 H 0.993 0.007 0.750
21 O 0.072 0.552 0.247
22 O 0.109 0.117 0.608
23 O 0.114 0.603 0.584
24 O 0.117 0.109 0.108
25 O 0.124 0.876 0.750
26 O 0.197 0.270 0.560
27 O 0.208 0.464 0.901
28 O 0.245 0.714 0.084
29 O 0.270 0.197 0.060
30 O 0.286 0.755 0.416
31 O 0.397 0.886 0.916
32 O 0.429 0.445 0.763
33 O 0.445 0.429 0.263
34 O 0.448 0.928 0.253
35 O 0.464 0.208 0.401
36 O 0.536 0.792 0.599
37 O 0.552 0.072 0.747
38 O 0.555 0.571 0.737
39 O 0.571 0.555 0.237
40 O 0.603 0.114 0.084
41 O 0.714 0.245 0.584
42 O 0.730 0.803 0.940
43 O 0.755 0.286 0.916
44 O 0.792 0.536 0.099
45 O 0.803 0.730 0.440
46 O 0.876 0.124 0.250
47 O 0.883 0.891 0.892
48 O 0.886 0.397 0.416
49 O 0.891 0.883 0.392
50 O 0.928 0.448 0.753

Peak list (10 most intense, 2θ = 15–90°, by angle)
2θ = 25.4°, rel. 13; 2θ = 26.4°, rel. 100; 2θ = 27.3°, rel. 21; 2θ = 27.7°, rel. 20; 2θ = 34.0°, rel. 11; 2θ = 43.4°, rel. 12; 2θ = 43.8°, rel. 11; 2θ = 54.4°, rel. 23; 2θ = 56.4°, rel. 23; 2θ = 57.1°, rel. 14